Record 1
The following is a calculated powder XRD pattern of NdLu3. It was derived from a cell relaxed with PBE, using Cu Kα, 1.54184 Å.
Neutral-atom scattering factors, no anomalous dispersion.

Main lines, in order of rising 2θ (2θ = 10–90°):
2θ (°)  I_rel
28.84  24
31.77  25
33.02  100
43.44  16
51.10  20
57.40  21
61.44  23
62.19  16
84.58  14
88.36  9

```
data_NdLu3
_symmetry_space_group_name_H-M 'P 1'
_symmetry_Int_Tables_number 1
_cell_length_a 7.1496
_cell_length_b 7.1496
_cell_length_c 5.6328
_cell_angle_alpha 90.00
_cell_angle_beta 90.00
_cell_angle_gamma 120.00
loop_
_symmetry_equiv_pos_as_xyz
'x,y,z'
loop_
_atom_site_label
_atom_site_type_symbol
_atom_site_fract_x
_atom_site_fract_y
_atom_site_fract_z
Nd1 Nd 0.3333 0.6667 0.2500
Nd2 Nd 0.6667 0.3333 0.7500
Lu1 Lu 0.1642 0.3284 0.7500
Lu2 Lu 0.1642 0.8358 0.7500
Lu3 Lu 0.3284 0.1642 0.2500
Lu4 Lu 0.6716 0.8358 0.7500
Lu5 Lu 0.8358 0.1642 0.2500
Lu6 Lu 0.8358 0.6716 0.2500
```

=====

Record 2
The following is a calculated powder XRD pattern of Mg2NiRh. It was derived from a cell relaxed with PBE, using Cu Kα, 1.54184 Å.
Neutral-atom scattering factors, no anomalous dispersion.

Main lines, in order of rising 2θ (2θ = 10–90°):
2θ (°)  I_rel
24.90  9
28.83  39
41.22  100
48.76  4
51.08  10
59.72  16
65.71  2
67.65  13
75.14  31
89.51  10

```
data_Mg2NiRh
_symmetry_space_group_name_H-M 'P 1'
_symmetry_Int_Tables_number 1
_cell_length_a 4.3797
_cell_length_b 4.3797
_cell_length_c 4.3797
_cell_angle_alpha 60.00
_cell_angle_beta 60.00
_cell_angle_gamma 60.00
loop_
_symmetry_equiv_pos_as_xyz
'x,y,z'
loop_
_atom_site_label
_atom_site_type_symbol
_atom_site_fract_x
_atom_site_fract_y
_atom_site_fract_z
Mg1 Mg 0.2500 0.2500 0.2500
Mg2 Mg 0.7500 0.7500 0.7500
Ni1 Ni 0.0000 0.0000 0.0000
Rh1 Rh 0.5000 0.5000 0.5000
```

=====

Record 3
The following is a calculated powder XRD pattern of Cs2NaAlCl6. It was derived from a cell relaxed with PBE, using Cu Kα, 1.54184 Å.
Neutral-atom scattering factors, no anomalous dispersion.

Main lines, in order of rising 2θ (2θ = 10–90°):
2θ (°)  I_rel
16.96  25
24.08  86
29.60  100
34.31  76
42.35  35
49.30  48
55.59  21
58.56  34
66.98  22
82.53  18

```
data_Cs2NaAlCl6
_symmetry_space_group_name_H-M 'P 1'
_symmetry_Int_Tables_number 1
_cell_length_a 7.3929
_cell_length_b 7.3929
_cell_length_c 7.3929
_cell_angle_alpha 60.00
_cell_angle_beta 60.00
_cell_angle_gamma 60.00
loop_
_symmetry_equiv_pos_as_xyz
'x,y,z'
loop_
_atom_site_label
_atom_site_type_symbol
_atom_site_fract_x
_atom_site_fract_y
_atom_site_fract_z
Cs1 Cs 0.2500 0.2500 0.2500
Cs2 Cs 0.7500 0.7500 0.7500
Na1 Na 0.0000 0.0000 0.0000
Al1 Al 0.5000 0.5000 0.5000
Cl1 Cl 0.2739 0.2739 0.7261
Cl2 Cl 0.2739 0.7261 0.2739
Cl3 Cl 0.2739 0.7261 0.7261
Cl4 Cl 0.7261 0.2739 0.2739
Cl5 Cl 0.7261 0.2739 0.7261
Cl6 Cl 0.7261 0.7261 0.2739
```

=====

Record 4
The following is a calculated powder XRD pattern of MnHg. It was derived from a cell relaxed with PBE, using Cu Kα, 1.54184 Å.
Neutral-atom scattering factors, no anomalous dispersion.

Main lines, in order of rising 2θ (2θ = 10–90°):
2θ (°)  I_rel
26.76  39
38.21  100
47.26  12
55.14  17
62.33  17
69.07  35
81.78  11
87.94  9

```
data_MnHg
_symmetry_space_group_name_H-M 'P 1'
_symmetry_Int_Tables_number 1
_cell_length_a 3.3311
_cell_length_b 3.3311
_cell_length_c 3.3311
_cell_angle_alpha 90.00
_cell_angle_beta 90.00
_cell_angle_gamma 90.00
loop_
_symmetry_equiv_pos_as_xyz
'x,y,z'
loop_
_atom_site_label
_atom_site_type_symbol
_atom_site_fract_x
_atom_site_fract_y
_atom_site_fract_z
Mn1 Mn 0.0000 0.0000 0.0000
Hg1 Hg 0.5000 0.5000 0.5000
```

=====

Record 5
The following is a calculated powder XRD pattern of BiRh. It was derived from a cell relaxed with PBE, using Cu Kα, 1.54184 Å.
Neutral-atom scattering factors, no anomalous dispersion.

Main lines, in order of rising 2θ (2θ = 10–90°):
2θ (°)  I_rel
29.17  100
40.06  59
43.33  53
53.09  20
54.15  19
60.48  18
70.85  17
77.28  17
81.24  18
87.68  10

```
data_BiRh
_symmetry_space_group_name_H-M 'P 1'
_symmetry_Int_Tables_number 1
_cell_length_a 4.1765
_cell_length_b 4.1765
_cell_length_c 5.7503
_cell_angle_alpha 90.00
_cell_angle_beta 90.00
_cell_angle_gamma 120.00
loop_
_symmetry_equiv_pos_as_xyz
'x,y,z'
loop_
_atom_site_label
_atom_site_type_symbol
_atom_site_fract_x
_atom_site_fract_y
_atom_site_fract_z
Bi1 Bi 0.3333 0.6667 0.2500
Bi2 Bi 0.6667 0.3333 0.7500
Rh1 Rh 0.0000 0.0000 0.0000
Rh2 Rh 0.0000 0.0000 0.5000
```

=====

Record 6
The following is a calculated powder XRD pattern of Sr2EuSbO6. It was derived from a cell relaxed with PBE, using Cu Kα, 1.54184 Å.
Neutral-atom scattering factors, no anomalous dispersion.

Main lines, in order of rising 2θ (2θ = 10–90°):
2θ (°)  I_rel
20.94  12
29.79  100
42.63  32
47.95  5
52.87  40
61.86  19
66.08  2
70.16  18
78.03  6
85.69  22

```
data_Sr2EuSbO6
_symmetry_space_group_name_H-M 'P 1'
_symmetry_Int_Tables_number 1
_cell_length_a 5.9991
_cell_length_b 5.9991
_cell_length_c 5.9991
_cell_angle_alpha 60.00
_cell_angle_beta 60.00
_cell_angle_gamma 60.00
loop_
_symmetry_equiv_pos_as_xyz
'x,y,z'
loop_
_atom_site_label
_atom_site_type_symbol
_atom_site_fract_x
_atom_site_fract_y
_atom_site_fract_z
Sr1 Sr 0.2500 0.2500 0.2500
Sr2 Sr 0.7500 0.7500 0.7500
Eu1 Eu 0.0000 0.0000 0.0000
Sb1 Sb 0.5000 0.5000 0.5000
O1 O 0.2648 0.2648 0.7352
O2 O 0.2648 0.7352 0.2648
O3 O 0.2648 0.7352 0.7352
O4 O 0.7352 0.2648 0.2648
O5 O 0.7352 0.2648 0.7352
O6 O 0.7352 0.7352 0.2648
```

=====

Record 7
The following is a calculated powder XRD pattern of Nb4AlN3. It was derived from a cell relaxed with PBE, using Cu Kα, 1.54184 Å.
Neutral-atom scattering factors, no anomalous dispersion.

Main lines, in order of rising 2θ (2θ = 10–90°):
2θ (°)  I_rel
34.11  43
35.11  19
36.47  40
36.78  39
38.17  68
40.15  100
42.40  22
56.68  30
59.47  47
72.01  33

```
data_Nb4AlN3
_symmetry_space_group_name_H-M 'P 1'
_symmetry_Int_Tables_number 1
_cell_length_a 3.1084
_cell_length_b 3.1084
_cell_length_c 24.4352
_cell_angle_alpha 90.00
_cell_angle_beta 90.00
_cell_angle_gamma 120.00
loop_
_symmetry_equiv_pos_as_xyz
'x,y,z'
loop_
_atom_site_label
_atom_site_type_symbol
_atom_site_fract_x
_atom_site_fract_y
_atom_site_fract_z
Nb1 Nb 0.0000 0.0000 0.1592
Nb2 Nb 0.0000 0.0000 0.3408
Nb3 Nb 0.0000 0.0000 0.6592
Nb4 Nb 0.0000 0.0000 0.8408
Nb5 Nb 0.3333 0.6667 0.0513
Nb6 Nb 0.3333 0.6667 0.4487
Nb7 Nb 0.6667 0.3333 0.5513
Nb8 Nb 0.6667 0.3333 0.9487
Al1 Al 0.3333 0.6667 0.2500
Al2 Al 0.6667 0.3333 0.7500
N1 N 0.0000 0.0000 0.0000
N2 N 0.0000 0.0000 0.5000
N3 N 0.3333 0.6667 0.6071
N4 N 0.3333 0.6667 0.8929
N5 N 0.6667 0.3333 0.1071
N6 N 0.6667 0.3333 0.3929
```

=====

What did the first record say?
The following is a calculated powder XRD pattern of NdLu3. It was derived from a cell relaxed with PBE, using Cu Kα, 1.54184 Å.
Neutral-atom scattering factors, no anomalous dispersion.

Main lines, in order of rising 2θ (2θ = 10–90°):
2θ (°)  I_rel
28.84  24
31.77  25
33.02  100
43.44  16
51.10  20
57.40  21
61.44  23
62.19  16
84.58  14
88.36  9

```
data_NdLu3
_symmetry_space_group_name_H-M 'P 1'
_symmetry_Int_Tables_number 1
_cell_length_a 7.1496
_cell_length_b 7.1496
_cell_length_c 5.6328
_cell_angle_alpha 90.00
_cell_angle_beta 90.00
_cell_angle_gamma 120.00
loop_
_symmetry_equiv_pos_as_xyz
'x,y,z'
loop_
_atom_site_label
_atom_site_type_symbol
_atom_site_fract_x
_atom_site_fract_y
_atom_site_fract_z
Nd1 Nd 0.3333 0.6667 0.2500
Nd2 Nd 0.6667 0.3333 0.7500
Lu1 Lu 0.1642 0.3284 0.7500
Lu2 Lu 0.1642 0.8358 0.7500
Lu3 Lu 0.3284 0.1642 0.2500
Lu4 Lu 0.6716 0.8358 0.7500
Lu5 Lu 0.8358 0.1642 0.2500
Lu6 Lu 0.8358 0.6716 0.2500
```

=====

Which formula does entry 7 have?
Nb4AlN3